[1]
For ErMg4Ag2, the PBE geometry in Alexandria gives the simulated powder XRD pattern in this record (CuKα).

Principal peaks in the range 2θ from 10° to 90°, sorted by position:
hkl 1 1 0, 2θ = 14.65°, I 46
hkl 2 1 0, 2θ = 23.28°, I 31
hkl 1 1 1, 2θ = 25.58°, I 33
hkl 2 2 0, 2θ = 29.54°, I 40
hkl 2 1 1, 2θ = 31.43°, I 100
hkl 3 0 1, 2θ = 37.98°, I 44

Crystal structure
a = 8.5533 Å, b = 8.5533 Å, c = 4.2597 Å
α = 90.00°, β = 90.00°, γ = 90.00°
Space group P4_2/mnm (No. 136)
Unique sites:
Er1 0.0000 0.0000 0.0000 [2 per cell]
Mg1 0.0912 0.3369 0.5000 [8 per cell]
Ag1 0.2004 0.7996 0.5000 [4 per cell]

[2]
For LiCaCeGa, the PBE geometry in Alexandria gives the simulated powder XRD pattern in this record (CuKα).

Principal peaks in the range 2θ from 10° to 90°, sorted by position:
hkl 1 1 1, 2θ = 20.78°, I 48
hkl 2 0 0, 2θ = 24.04°, I 20
hkl 2 2 0, 2θ = 34.25°, I 100
hkl 3 1 1, 2θ = 40.40°, I 27
hkl 4 0 0, 2θ = 49.22°, I 18
hkl 4 2 2, 2θ = 61.33°, I 36

Crystal structure
a = 7.4051 Å, b = 7.4051 Å, c = 7.4051 Å
α = 90.00°, β = 90.00°, γ = 90.00°
Space group F-43m (No. 216)
Unique sites:
Li1 0.0000 0.0000 0.0000 [4 per cell]
Ca1 0.2500 0.2500 0.2500 [4 per cell]
Ce1 0.2500 0.2500 0.7500 [4 per cell]
Ga1 0.0000 0.0000 0.5000 [4 per cell]

[3]
For TaSeO2, the PBE geometry in Alexandria gives the simulated powder XRD pattern in this record (CuKα).

Principal peaks in the range 2θ from 10° to 90°, sorted by position:
hkl 0 0 3, 2θ = 10.14°, I 100
hkl 0 0 6, 2θ = 20.37°, I 95
hkl 0 1 2, 2θ = 35.58°, I 72
hkl 1 0 4, 2θ = 37.59°, I 47
hkl 0 1 8, 2θ = 44.84°, I 47
hkl 1 0 10, 2θ = 49.72°, I 29

Crystal structure
a = 2.9690 Å, b = 2.9690 Å, c = 26.1600 Å
α = 90.00°, β = 90.00°, γ = 120.00°
Space group R-3m (No. 166, hexagonal axes)
Unique sites:
Ta1 0.0000 0.0000 0.0000 [3 per cell]
Se1 0.0000 0.0000 0.5000 [3 per cell]
O1 0.0000 0.0000 0.3775 [6 per cell]

[4]
For NaBr, the PBE geometry in Alexandria gives the simulated powder XRD pattern in this record (CuKα).

Principal peaks in the range 2θ from 10° to 90°, sorted by position:
hkl 1 0 1, 2θ = 21.52°, I 71
hkl 2 0 0, 2θ = 22.55°, I 100
hkl 1 1 1, 2θ = 24.33°, I 78
hkl 2 1 0, 2θ = 25.25°, I 34
hkl 3 0 1, 2θ = 38.97°, I 83
hkl 3 2 1, 2θ = 45.47°, I 64

Crystal structure
a = 7.8873 Å, b = 7.8873 Å, c = 4.8479 Å
α = 90.00°, β = 90.00°, γ = 90.00°
Space group P4_2/mnm (No. 136)
Unique sites:
Na1 0.1768 0.1768 0.0000 [4 per cell]
Br1 0.1890 0.8110 0.0000 [4 per cell]